Diffraction record for KDyVO4. The powder X-ray diffraction pattern is computed, not measured: it uses a DFT-relaxed cell (PBE+U, Alexandria) and CuKα.
No peak broadening, texture or thermal motion is included.

Principal peaks in the range 15 to 90 degrees two-theta, in order of rising 2θ:
hkl 1 1 0, 4.093 Å, 2θ = 21.7°, I 100
hkl 0 1 2, 3.015 Å, 2θ = 29.6°, I 98
hkl 0 2 0, 2.965 Å, 2θ = 30.1°, I 88
hkl 2 1 -1, 2.644 Å, 2θ = 33.9°, I 70
hkl 1 1 2, 2.412 Å, 2θ = 37.3°, I 74
hkl 2 1 -2, 2.402 Å, 2θ = 37.4°, I 75

```
14
Lattice="5.939 0.000 0.000 0.000 5.931 0.000 -2.248 0.000 7.012" Properties=species:S:1:pos:R:3 pbc="T T T"
K 0.284 1.483 3.086
K 3.407 4.448 3.925
Dy -0.250 1.483 6.729
Dy 3.941 4.448 0.283
V 0.921 4.448 1.091
V 2.770 1.483 5.920
O -1.972 4.448 6.486
O -0.514 4.448 2.143
O 2.278 3.121 1.222
O 2.278 5.776 1.222
O 1.413 0.155 5.789
O 1.413 2.810 5.789
O 4.205 1.483 4.869
O 5.663 1.483 0.526
```